For TbPmNd2Ho, a PBE-relaxed structure gives the calculated powder diffractogram in this record (Cu Kα (weighted mean of Kα1 and Kα2)).

Main lines, sorted by position (10 to 90 degrees two-theta):
- hkl 1 2 0, 3.123 Å, I = 42
- hkl 0 0 2, 3.107 Å, I = 32
- hkl 2 1 1, 3.061 Å, I = 100
- hkl 1 2 -1, 2.790 Å, I = 53
- hkl 1 1 2, 2.670 Å, I = 46
- hkl 2 2 0, 2.611 Å, I = 21
- hkl 3 1 -1, 2.355 Å, I = 24
- hkl 3 1 2, 1.969 Å, I = 35
- hkl 2 1 3, 1.785 Å, I = 21
- hkl 2 3 2, 1.666 Å, I = 28

Atomic structure:
Cell lengths 8.243, 6.748, 6.214 Å; angles 90.00, 90.10, 90.00 degrees
Space group P2/c (No. 13)
Inequivalent atoms, fractional coordinates:
Tb: 0.000 0.078 0.250 x2
Pm: 0.000 0.500 0.000 x2
Nd: 0.305 0.193 0.750 x4
Ho: 0.500 0.343 0.250 x2

=====

For Tb6Pm3NdHo2, a PBE-relaxed structure gives the calculated powder diffractogram in this record (Cu Kα (weighted mean of Kα1 and Kα2)).

Main lines, sorted by position (10 to 90 degrees two-theta):
- hkl 1 3 1, 2.928 Å, I = 100
- hkl 2 0 2, 2.536 Å, I = 51
- hkl 1 3 5, 1.793 Å, I = 36
- hkl 4 0 0, 1.529 Å, I = 43
- hkl 2 6 2, 1.464 Å, I = 12
- hkl 4 0 4, 1.268 Å, I = 6
- hkl 4 6 0, 1.163 Å, I = 16
- hkl 2 0 -10, 1.163 Å, I = 1
- hkl 5 3 1, 1.134 Å, I = 11
- hkl 0 6 8, 1.133 Å, I = 5

Atomic structure:
Cell lengths 6.215, 10.758, 11.884 Å; angles 90.00, 100.00, 90.00 degrees
Space group C2/m (No. 12)
Inequivalent atoms, fractional coordinates:
Tb: 0.249 0.000 0.248 x4
Tb: 0.250 0.167 0.752 x8
Pm: 0.000 0.000 0.500 x2
Pm: 0.000 0.333 0.500 x4
Nd: 0.000 0.500 0.000 x2
Ho: 0.000 0.167 0.000 x4

=====

For TbPmNd2Ho5, a PBE-relaxed structure gives the calculated powder diffractogram in this record (Cu Kα (weighted mean of Kα1 and Kα2)).

Main lines, sorted by position (10 to 90 degrees two-theta):
- hkl 2 1 3, 3.110 Å, I = 46
- hkl 2 2 0, 3.074 Å, I = 52
- hkl 2 0 4, 2.898 Å, I = 100
- hkl 3 1 0, 2.750 Å, I = 12
- hkl 0 0 6, 2.592 Å, I = 15
- hkl 3 2 1, 2.383 Å, I = 16
- hkl 4 0 2, 2.091 Å, I = 19
- hkl 0 0 8, 1.944 Å, I = 12
- hkl 4 2 4, 1.739 Å, I = 23
- hkl 2 2 8, 1.643 Å, I = 13

Atomic structure:
Cell lengths 8.695, 8.695, 15.548 Å; angles 90.00, 90.00, 90.00 degrees
Space group I4/mcm (No. 140)
Inequivalent atoms, fractional coordinates:
Tb: 0.000 0.500 0.250 x4
Pm: 0.000 0.000 0.250 x4
Nd: 0.117 0.383 0.000 x8
Ho: 0.000 0.000 0.000 x4
Ho: 0.210 0.290 0.362 x16

=====

For TbPm4Nd2Ho2, a PBE-relaxed structure gives the calculated powder diffractogram in this record (Cu Kα (weighted mean of Kα1 and Kα2)).

Main lines, sorted by position (10 to 90 degrees two-theta):
- hkl 3 1 1, 2.955 Å, I = 100
- hkl 0 2 0, 2.563 Å, I = 34
- hkl 0 0 3, 2.551 Å, I = 17
- hkl 6 2 -1, 1.812 Å, I = 12
- hkl 6 0 2, 1.808 Å, I = 24
- hkl 9 1 0, 1.545 Å, I = 29
- hkl 3 1 4, 1.539 Å, I = 14
- hkl 6 2 2, 1.477 Å, I = 12
- hkl 3 3 4, 1.173 Å, I = 9
- hkl 12 2 -2, 1.146 Å, I = 7

Atomic structure:
Cell lengths 15.379, 5.126, 8.072 Å; angles 90.00, 108.56, 90.00 degrees
Space group C2/m (No. 12)
Inequivalent atoms, fractional coordinates:
Tb: 0.000 0.000 0.000 x2
Pm: 0.055 0.500 0.331 x4
Pm: 0.222 0.000 0.331 x4
Nd: 0.112 0.000 0.669 x4
Ho: 0.167 0.500 0.000 x4

=====

For Tb6PmNd3Ho2, a PBE-relaxed structure gives the calculated powder diffractogram in this record (Cu Kα (weighted mean of Kα1 and Kα2)).

Main lines, sorted by position (10 to 90 degrees two-theta):
- hkl 1 3 1, 2.932 Å, I = 100
- hkl 2 0 2, 2.540 Å, I = 51
- hkl 0 6 0, 1.796 Å, I = 36
- hkl 4 0 0, 1.532 Å, I = 36
- hkl 1 3 -7, 1.530 Å, I = 7
- hkl 2 6 2, 1.467 Å, I = 9
- hkl 4 6 0, 1.166 Å, I = 12
- hkl 4 0 -8, 1.164 Å, I = 6
- hkl 5 3 1, 1.136 Å, I = 8
- hkl 3 3 7, 1.135 Å, I = 8

Atomic structure:
Cell lengths 6.226, 10.780, 11.896 Å; angles 90.00, 100.02, 90.00 degrees
Space group C2/m (No. 12)
Inequivalent atoms, fractional coordinates:
Tb: 0.249 0.000 0.247 x4
Tb: 0.250 0.167 0.753 x8
Pm: 0.000 0.500 0.000 x2
Nd: 0.000 0.000 0.500 x2
Nd: 0.000 0.333 0.500 x4
Ho: 0.000 0.167 0.000 x4

=====

For Pm3Nd4HoTe8, a PBE-relaxed structure gives the calculated powder diffractogram in this record (Cu Kα (weighted mean of Kα1 and Kα2)).

Main lines, sorted by position (10 to 90 degrees two-theta):
- hkl 4 0 0, 3.159 Å, I = 100
- hkl 2 2 2, 2.234 Å, I = 76
- hkl 4 4 0, 1.824 Å, I = 27
- hkl 8 0 0, 1.580 Å, I = 13
- hkl 6 2 2, 1.413 Å, I = 29
- hkl 2 6 -2, 1.412 Å, I = 6
- hkl 4 0 4, 1.290 Å, I = 17
- hkl 2 6 2, 1.289 Å, I = 9
- hkl 4 4 4, 1.117 Å, I = 4
- hkl 0 8 0, 1.116 Å, I = 4

Atomic structure:
Cell lengths 15.477, 8.926, 8.944 Å; angles 90.00, 125.26, 90.00 degrees
Space group C2/m (No. 12)
Inequivalent atoms, fractional coordinates:
Pm: 0.000 0.000 0.000 x2
Pm: 0.250 0.250 0.500 x4
Nd: 0.000 0.000 0.500 x2
Nd: 0.000 0.500 0.500 x2
Nd: 0.250 0.250 0.000 x4
Ho: 0.000 0.500 0.000 x2
Te: 0.001 0.254 0.245 x8
Te: 0.245 0.500 0.247 x4
Te: 0.249 0.000 0.251 x4

=====

For PmNdHoTh2, a PBE-relaxed structure gives the calculated powder diffractogram in this record (Cu Kα (weighted mean of Kα1 and Kα2)).

Main lines, sorted by position (10 to 90 degrees two-theta):
- hkl 0 2 0, 7.870 Å, I = 17
- hkl 1 3 1, 3.521 Å, I = 16
- hkl 2 2 0, 3.088 Å, I = 100
- hkl 0 6 0, 2.624 Å, I = 39
- hkl 2 4 0, 2.554 Å, I = 38
- hkl 2 0 2, 2.374 Å, I = 42
- hkl 2 6 2, 1.760 Å, I = 31
- hkl 4 0 0, 1.679 Å, I = 15
- hkl 4 2 2, 1.475 Å, I = 23
- hkl 2 10 0, 1.425 Å, I = 17

Atomic structure:
Cell lengths 6.712, 15.741, 6.719 Å; angles 90.00, 90.00, 90.00 degrees
Space group Cmcm (No. 63)
Inequivalent atoms, fractional coordinates:
Pm: 0.000 0.151 0.250 x4
Nd: 0.000 0.257 0.750 x4
Ho: 0.000 0.349 0.250 x4
Th: 0.248 0.500 0.000 x8

=====

For PmNdHo2Th, a PBE-relaxed structure gives the calculated powder diffractogram in this record (Cu Kα (weighted mean of Kα1 and Kα2)).

Main lines, sorted by position (10 to 90 degrees two-theta):
- hkl 2 0 -1, 3.156 Å, I = 24
- hkl 0 2 0, 2.890 Å, I = 25
- hkl 1 1 2, 2.770 Å, I = 100
- hkl 2 2 -1, 2.131 Å, I = 16
- hkl 3 0 1, 1.825 Å, I = 7
- hkl 0 0 5, 1.821 Å, I = 13
- hkl 1 3 2, 1.644 Å, I = 21
- hkl 3 2 1, 1.543 Å, I = 8
- hkl 0 2 5, 1.540 Å, I = 15
- hkl 4 1 -2, 1.523 Å, I = 11

Atomic structure:
Cell lengths 6.316, 5.780, 9.628 Å; angles 90.00, 108.97, 90.00 degrees
Space group P2_1/m (No. 11)
Inequivalent atoms, fractional coordinates:
Pm: 0.033 0.250 0.395 x2
Nd: 0.250 0.250 0.809 x2
Ho: 0.162 0.750 0.005 x2
Ho: 0.372 0.750 0.405 x2
Th: 0.420 0.250 0.204 x2

=====

For PmNdHoTm, a PBE-relaxed structure gives the calculated powder diffractogram in this record (Cu Kα (weighted mean of Kα1 and Kα2)).

Main lines, sorted by position (10 to 90 degrees two-theta):
- hkl 4 0 0, 2.969 Å, I = 57
- hkl 0 2 0, 2.934 Å, I = 58
- hkl 1 1 1, 2.808 Å, I = 99
- hkl 3 1 -1, 2.789 Å, I = 100
- hkl 4 2 0, 2.087 Å, I = 43
- hkl 5 1 1, 1.686 Å, I = 20
- hkl 7 1 -1, 1.673 Å, I = 21
- hkl 1 3 1, 1.669 Å, I = 21
- hkl 3 3 -1, 1.665 Å, I = 22
- hkl 6 0 -2, 1.586 Å, I = 26

Atomic structure:
Cell lengths 12.428, 5.868, 3.771 Å; angles 90.00, 107.11, 90.00 degrees
Space group Cm (No. 8)
Inequivalent atoms, fractional coordinates:
Pm: 0.000 0.000 0.000 x2
Nd: 0.268 0.000 0.822 x2
Ho: 0.021 0.500 0.534 x2
Tm: 0.257 0.500 0.288 x2

=====

For PmNd2Y2Ho4, a PBE-relaxed structure gives the calculated powder diffractogram in this record (Cu Kα (weighted mean of Kα1 and Kα2)).

Main lines, sorted by position (10 to 90 degrees two-theta):
- hkl 3 1 -1, 3.107 Å, I = 40
- hkl 0 0 3, 2.883 Å, I = 51
- hkl 6 0 0, 2.818 Å, I = 100
- hkl 3 1 1, 2.680 Å, I = 93
- hkl 0 2 0, 1.807 Å, I = 39
- hkl 6 0 3, 1.683 Å, I = 20
- hkl 3 1 4, 1.595 Å, I = 20
- hkl 9 1 1, 1.531 Å, I = 45
- hkl 6 2 -3, 1.498 Å, I = 16
- hkl 9 1 4, 1.127 Å, I = 18

Atomic structure:
Cell lengths 18.768, 3.615, 9.602 Å; angles 90.00, 115.74, 90.00 degrees
Space group C2/m (No. 12)
Inequivalent atoms, fractional coordinates:
Pm: 0.000 0.000 0.000 x2
Nd: 0.166 0.500 0.001 x4
Y: 0.147 0.000 0.663 x4
Ho: 0.019 0.500 0.336 x4
Ho: 0.186 0.000 0.337 x4

=====

For PmNd2Y6Ho2, a PBE-relaxed structure gives the calculated powder diffractogram in this record (Cu Kα (weighted mean of Kα1 and Kα2)).

Main lines, sorted by position (10 to 90 degrees two-theta):
- hkl 1 1 3, 2.933 Å, I = 24
- hkl 0 4 1, 2.906 Å, I = 20
- hkl 2 0 0, 2.853 Å, I = 37
- hkl 1 3 2, 2.802 Å, I = 100
- hkl 0 0 4, 2.674 Å, I = 20
- hkl 2 4 -1, 2.036 Å, I = 15
- hkl 0 4 5, 1.745 Å, I = 10
- hkl 3 3 -2, 1.638 Å, I = 10
- hkl 3 3 2, 1.636 Å, I = 10
- hkl 1 7 -3, 1.499 Å, I = 13

Atomic structure:
Cell lengths 5.706, 12.078, 10.694 Å; angles 90.00, 90.14, 90.00 degrees
Space group C2/m (No. 12)
Inequivalent atoms, fractional coordinates:
Pm: 0.000 0.000 0.000 x2
Nd: 0.000 0.365 0.500 x4
Y: 0.001 0.154 0.711 x8
Y: 0.001 0.500 0.792 x4
Ho: 0.000 0.297 0.000 x4

=====

For Pm2Nd2Y6Ho, a PBE-relaxed structure gives the calculated powder diffractogram in this record (Cu Kα (weighted mean of Kα1 and Kα2)).

Main lines, sorted by position (10 to 90 degrees two-theta):
- hkl 0 4 1, 2.919 Å, I = 65
- hkl 2 0 0, 2.861 Å, I = 41
- hkl 1 3 2, 2.805 Å, I = 100
- hkl 0 0 4, 2.650 Å, I = 18
- hkl 2 4 1, 2.043 Å, I = 21
- hkl 2 0 4, 1.944 Å, I = 15
- hkl 0 4 5, 1.739 Å, I = 13
- hkl 3 3 2, 1.641 Å, I = 26
- hkl 1 7 3, 1.503 Å, I = 23
- hkl 2 4 5, 1.486 Å, I = 17

Atomic structure:
Cell lengths 5.721, 12.150, 10.602 Å; angles 90.00, 90.00, 90.00 degrees
Space group Cmmm (No. 65)
Inequivalent atoms, fractional coordinates:
Pm: 0.000 0.209 0.000 x4
Nd: 0.000 0.131 0.500 x4
Y: 0.000 0.000 0.201 x4
Y: 0.000 0.349 0.297 x8
Ho: 0.000 0.500 0.000 x2